# 1
For Cd10SnHg6, the GGA-PBE geometry in Alexandria gives the simulated X-ray diffraction stick pattern in this record (CuKα).

Structure:
Cell: 8.5304 8.5304 6.6242 Å, 90.00 90.00 120.00°
Space group P-31m (No. 162)
Asymmetric unit:
1 Cd 0.0000 0.2894 0.3312
2 Cd 0.3333 0.6667 0.0000
3 Cd 0.3333 0.6667 0.5000
4 Sn 0.0000 0.0000 0.0000
5 Hg 0.0000 0.3636 0.8041

Peak list (10 most intense, 2θ = 10–90°, by angle)
| d_spacing | two_theta | I (rel.) |
| --- | --- | --- |
| 3.586 | 24.8 | 18 |
| 2.616 | 34.3 | 100 |
| 2.573 | 34.9 | 23 |
| 2.463 | 36.5 | 79 |
| 1.959 | 46.4 | 14 |
| 1.793 | 50.9 | 25 |
| 1.544 | 59.9 | 19 |
| 1.450 | 64.3 | 20 |
| 1.308 | 72.2 | 9 |
| 1.301 | 72.7 | 10 |

---

# 2
For Cd6SnHg6, the GGA-PBE geometry in Alexandria gives the simulated X-ray diffraction stick pattern in this record (CuKα).

Structure:
Cell: 6.0518 6.0518 10.1276 Å, 90.00 90.00 120.00°
Space group P6/mmm (No. 191)
Asymmetric unit:
1 Cd 0.0000 0.5000 0.2501
2 Sn 0.0000 0.0000 0.0000
3 Hg 0.0000 0.0000 0.3513
4 Hg 0.3333 0.6667 0.0000
5 Hg 0.3333 0.6667 0.5000

Peak list (10 most intense, 2θ = 10–90°, by angle)
| d_spacing | two_theta | I (rel.) |
| --- | --- | --- |
| 3.026 | 29.5 | 83 |
| 2.838 | 31.5 | 29 |
| 2.621 | 34.2 | 31 |
| 2.597 | 34.5 | 100 |
| 2.327 | 38.7 | 80 |
| 2.280 | 39.5 | 46 |
| 1.651 | 55.7 | 26 |
| 1.560 | 59.2 | 28 |
| 1.513 | 61.3 | 36 |
| 1.474 | 63.1 | 36 |

---

# 3
For Cd7Sn2Hg3, the GGA-PBE geometry in Alexandria gives the simulated X-ray diffraction stick pattern in this record (CuKα).

Structure:
Cell: 4.513 4.472 15.380 Å, 90.00 96.50 90.00°
Space group P2/m (No. 10)
Asymmetric unit:
1 Cd 0.000 0.000 0.000
2 Cd 0.075 0.500 0.150
3 Cd 0.203 0.500 0.423
4 Cd 0.433 0.000 0.852
5 Sn 0.370 0.500 0.716
6 Hg 0.284 0.000 0.576
7 Hg 0.500 0.500 0.000

Peak list (10 most intense, 2θ = 10–90°, by angle)
| d_spacing | two_theta | I (rel.) |
| --- | --- | --- |
| 7.641 | 11.6 | 24 |
| 3.054 | 29.2 | 20 |
| 2.598 | 34.5 | 100 |
| 2.540 | 35.3 | 94 |
| 2.255 | 40.0 | 34 |
| 2.236 | 40.3 | 33 |
| 2.183 | 41.4 | 31 |
| 1.588 | 58.1 | 23 |
| 1.562 | 59.1 | 21 |
| 1.342 | 70.1 | 25 |

---

# 4
For Cd6SnHg12, the GGA-PBE geometry in Alexandria gives the simulated X-ray diffraction stick pattern in this record (CuKα).

Structure:
Cell: 10.4893 10.4893 15.7283 Å, 90.00 90.00 120.00°
Space group R-3 (No. 148, hexagonal axes)
Asymmetric unit:
1 Cd 0.0277 0.4116 0.2163
2 Sn 0.0000 0.0000 0.5000
3 Hg 0.0466 0.8436 0.9158
4 Hg 0.0602 0.8699 0.2859

Peak list (10 most intense, 2θ = 10–90°, by angle)
| d_spacing | two_theta | I (rel.) |
| --- | --- | --- |
| 3.354 | 26.6 | 30 |
| 3.147 | 28.4 | 34 |
| 2.973 | 30.1 | 64 |
| 2.622 | 34.2 | 100 |
| 2.399 | 37.5 | 66 |
| 2.345 | 38.4 | 71 |
| 1.982 | 45.8 | 25 |
| 1.706 | 53.7 | 19 |
| 1.455 | 64.0 | 24 |
| 1.402 | 66.7 | 19 |

---

# 5
For Cd12Sn2Hg5, the GGA-PBE geometry in Alexandria gives the simulated X-ray diffraction stick pattern in this record (CuKα).

Structure:
Cell: 7.556 7.831 8.689 Å, 107.75 102.08 94.65°
Space group P-1 (No. 2)
Asymmetric unit:
1 Cd 0.080 0.388 0.146
2 Cd 0.107 0.832 0.661
3 Cd 0.209 0.453 0.537
4 Cd 0.289 0.051 0.439
5 Cd 0.310 0.546 0.944
6 Cd 0.418 0.129 0.857
7 Sn 0.479 0.250 0.241
8 Hg 0.000 0.000 0.000
9 Hg 0.030 0.226 0.735
10 Hg 0.398 0.673 0.339

Peak list (10 most intense, 2θ = 10–90°, by angle)
| d_spacing | two_theta | I (rel.) |
| --- | --- | --- |
| 2.838 | 31.5 | 100 |
| 2.821 | 31.7 | 60 |
| 2.611 | 34.3 | 20 |
| 2.418 | 37.2 | 47 |
| 2.387 | 37.7 | 58 |
| 2.353 | 38.2 | 59 |
| 2.332 | 38.6 | 40 |
| 2.077 | 43.6 | 23 |
| 1.933 | 47.0 | 19 |
| 1.546 | 59.8 | 20 |

---

# 6
For Cd3SnHg, the GGA-PBE geometry in Alexandria gives the simulated X-ray diffraction stick pattern in this record (CuKα).

Structure:
Cell: 4.454 7.164 8.534 Å, 106.71 103.83 90.06°
Space group P-1 (No. 2)
Asymmetric unit:
1 Cd 0.051 0.242 0.090
2 Cd 0.225 0.149 0.457
3 Cd 0.321 0.589 0.644
4 Sn 0.140 0.691 0.262
5 Hg 0.406 0.036 0.820

Peak list (10 most intense, 2θ = 10–90°, by angle)
| d_spacing | two_theta | I (rel.) |
| --- | --- | --- |
| 6.842 | 12.9 | 34 |
| 2.660 | 33.7 | 100 |
| 2.607 | 34.4 | 97 |
| 2.587 | 34.7 | 92 |
| 2.563 | 35.0 | 90 |
| 2.291 | 39.3 | 63 |
| 2.248 | 40.1 | 62 |
| 2.226 | 40.5 | 61 |
| 1.363 | 68.9 | 35 |
| 1.338 | 70.4 | 24 |